Structure and theoretical powder XRD pattern of LiNd2Ge3Ir4 (a structure optimized by DFT (GGA-PBE); Cu Kα, 1.54184 Å).
Peak positions follow from Bragg's law for the DFT cell and can differ from measured ones.

Cell and atoms:
```
LiNd2Ge3Ir4
1.0
4.1739 0.0000 0.0000
0.0000 4.1739 0.0000
0.0000 0.0000 10.5414
Li Nd Ge Ir
1 2 3 4
Direct
0.0000 0.0000 0.0000 Li
0.0000 0.5000 0.7527 Nd
0.5000 0.0000 0.2473 Nd
0.0000 0.5000 0.3706 Ge
0.5000 0.0000 0.6294 Ge
0.5000 0.5000 0.0000 Ge
0.0000 0.0000 0.5000 Ir
0.0000 0.5000 0.1363 Ir
0.5000 0.0000 0.8637 Ir
0.5000 0.5000 0.5000 Ir
```

Main lines, low angle first (10° ≤ 2θ ≤ 80°):
Position (°2θ), d_spacing, I_rel
31.48, 2.842, 39
33.33, 2.688, 61
34.84, 2.575, 100
43.36, 2.087, 68
46.18, 1.966, 33
48.37, 1.882, 35


Structure and theoretical powder XRD pattern of CsRbF14 (a structure optimized by DFT (GGA-PBE); Cu Kα, 1.54184 Å).
Peak positions follow from Bragg's law for the DFT cell and can differ from measured ones.

Cell and atoms:
```
CsRbF14
1.0
-3.6331 6.8940 5.9945
3.6331 -6.8940 5.9945
3.6331 6.8940 -5.9945
Cs Rb F
2 2 28
Direct
0.3410 0.0910 0.2500 Cs
0.6590 0.9090 0.7500 Cs
0.0000 0.0000 0.5000 Rb
0.0000 0.5000 0.0000 Rb
0.0235 0.8982 0.1253 F
0.0415 0.4153 0.6262 F
0.0584 0.1912 0.3815 F
0.0584 0.6770 0.8672 F
0.2423 0.4417 0.3033 F
0.2423 0.9390 0.8006 F
0.2728 0.8982 0.3747 F
0.2891 0.4153 0.8738 F
0.3097 0.1912 0.6328 F
0.3097 0.6770 0.1185 F
0.3360 0.6380 0.6980 F
0.3616 0.0610 0.8033 F
0.3616 0.5583 0.3006 F
0.4400 0.6380 0.8020 F
0.5600 0.3620 0.1980 F
0.6384 0.4417 0.6994 F
0.6384 0.9390 0.1967 F
0.6640 0.3620 0.3020 F
0.6903 0.3230 0.8815 F
0.6903 0.8088 0.3672 F
0.7109 0.5847 0.1262 F
0.7272 0.1018 0.6253 F
0.7577 0.0610 0.1994 F
0.7577 0.5583 0.6967 F
0.9416 0.3230 0.1328 F
0.9416 0.8088 0.6185 F
0.9585 0.5847 0.3738 F
0.9765 0.1018 0.8747 F
```

Main lines, low angle first (10° ≤ 2θ ≤ 80°):
Position (°2θ), d_spacing, I_rel
12.84, 6.894, 77
19.23, 4.616, 28
26.44, 3.371, 40
29.62, 3.015, 100
32.28, 2.773, 60
38.99, 2.310, 39


Structure and theoretical powder XRD pattern of Ca3TlPb4 (a structure optimized by DFT (GGA-PBE); Cu Kα, 1.54184 Å).
Peak positions follow from Bragg's law for the DFT cell and can differ from measured ones.

Cell and atoms:
```
Ca3TlPb4
1.0
4.7616 0.0000 0.0000
0.0000 4.8880 0.0000
0.0000 0.0000 10.3178
Ca Tl Pb
3 1 4
Direct
0.0000 0.0000 0.0000 Ca
0.0000 0.5000 0.2642 Ca
0.0000 0.5000 0.7358 Ca
0.0000 0.0000 0.5000 Tl
0.5000 0.0000 0.2422 Pb
0.5000 0.0000 0.7578 Pb
0.5000 0.5000 0.0000 Pb
0.5000 0.5000 0.5000 Pb
```

Main lines, low angle first (10° ≤ 2θ ≤ 80°):
Position (°2θ), d_spacing, I_rel
18.63, 4.762, 15
25.10, 3.548, 16
31.44, 2.845, 100
34.78, 2.579, 19
36.77, 2.444, 17
37.79, 2.381, 16


Structure and theoretical powder XRD pattern of Re2AgMo (a structure optimized by DFT (GGA-PBE); Cu Kα, 1.54184 Å).
Peak positions follow from Bragg's law for the DFT cell and can differ from measured ones.

Cell and atoms:
```
Re2AgMo
1.0
1.5305 -2.2223 0.0000
1.5305 2.2223 0.0000
0.0000 0.0000 9.4082
Re Ag Mo
2 1 1
Direct
0.0000 0.0000 0.0000 Re
0.5000 0.5000 0.2336 Re
0.5000 0.5000 0.7345 Ag
0.0000 0.0000 0.4697 Mo
```

Main lines, low angle first (10° ≤ 2θ ≤ 80°):
Position (°2θ), d_spacing, I_rel
38.27, 2.352, 22
40.60, 2.222, 100
57.01, 1.615, 14
70.76, 1.331, 13
73.87, 1.283, 20
75.41, 1.260, 7


Structure and theoretical powder XRD pattern of Dy3SiGe2 (a structure optimized by DFT (GGA-PBE); Cu Kα, 1.54184 Å).
Peak positions follow from Bragg's law for the DFT cell and can differ from measured ones.

Cell and atoms:
```
Dy3SiGe2
1.0
11.5429 0.0000 0.0000
0.0000 4.1045 0.0000
0.0000 0.0000 11.5462
Dy Si Ge
12 4 8
Direct
0.0587 0.2500 0.1222 Dy
0.1174 0.7500 0.5561 Dy
0.2115 0.2500 0.7938 Dy
0.2885 0.7500 0.2938 Dy
0.3826 0.2500 0.0561 Dy
0.4413 0.7500 0.6222 Dy
0.5587 0.2500 0.3778 Dy
0.6174 0.7500 0.9439 Dy
0.7115 0.2500 0.7062 Dy
0.7885 0.7500 0.2062 Dy
0.8826 0.2500 0.4439 Dy
0.9413 0.7500 0.8778 Dy
0.1306 0.2500 0.3719 Si
0.3694 0.7500 0.8719 Si
0.6306 0.2500 0.1281 Si
0.8694 0.7500 0.6281 Si
0.0165 0.7500 0.3055 Ge
0.1903 0.7500 0.9970 Ge
0.3097 0.2500 0.4970 Ge
0.4835 0.2500 0.8055 Ge
0.5165 0.7500 0.1945 Ge
0.6903 0.7500 0.5030 Ge
0.8097 0.2500 0.0030 Ge
0.9835 0.2500 0.6945 Ge
```

Main lines, low angle first (10° ≤ 2θ ≤ 80°):
Position (°2θ), d_spacing, I_rel
27.87, 3.202, 30
30.90, 2.894, 34
31.91, 2.804, 100
32.83, 2.728, 45
35.56, 2.525, 32
44.13, 2.052, 29


Structure and theoretical powder XRD pattern of NbIn2Pd8 (a structure optimized by DFT (GGA-PBE); Cu Kα, 1.54184 Å).
Peak positions follow from Bragg's law for the DFT cell and can differ from measured ones.

Cell and atoms:
```
NbIn2Pd8
1.0
4.0995 -5.5627 0.0000
4.0995 5.5627 0.0000
0.0000 0.0000 4.2080
Nb In Pd
1 2 8
Direct
0.0000 0.0000 0.0000 Nb
0.3705 0.6295 0.5000 In
0.6295 0.3705 0.5000 In
0.0417 0.2939 0.5000 Pd
0.2348 0.7652 0.0000 Pd
0.2939 0.0417 0.5000 Pd
0.3288 0.3288 0.0000 Pd
0.6712 0.6712 0.0000 Pd
0.7061 0.9583 0.5000 Pd
0.7652 0.2348 0.0000 Pd
0.9583 0.7061 0.5000 Pd
```

Main lines, low angle first (10° ≤ 2θ ≤ 80°):
Position (°2θ), d_spacing, I_rel
38.81, 2.320, 100
40.17, 2.245, 83
41.02, 2.200, 34
42.99, 2.104, 38
53.07, 1.726, 20
60.93, 1.521, 20


Structure and theoretical powder XRD pattern of Cs2PmF4 (a structure optimized by DFT (GGA-PBE); Cu Kα, 1.54184 Å).
Peak positions follow from Bragg's law for the DFT cell and can differ from measured ones.

Cell and atoms:
```
Cs2PmF4
1.0
7.1851 0.0000 0.0000
0.0000 12.3905 0.0000
0.0000 0.0000 4.0181
Cs Pm F
4 2 8
Direct
0.0278 0.1756 0.0000 Cs
0.4722 0.6756 0.0000 Cs
0.5278 0.3244 0.0000 Cs
0.9722 0.8244 0.0000 Cs
0.0000 0.5000 0.5000 Pm
0.5000 0.0000 0.5000 Pm
0.1346 0.4281 0.0000 F
0.1438 0.6644 0.5000 F
0.3562 0.1644 0.5000 F
0.3654 0.9281 0.0000 F
0.6346 0.0719 0.0000 F
0.6438 0.8356 0.5000 F
0.8562 0.3356 0.5000 F
0.8654 0.5719 0.0000 F
```

Main lines, low angle first (10° ≤ 2θ ≤ 80°):
Position (°2θ), d_spacing, I_rel
24.84, 3.585, 100
26.42, 3.373, 76
36.57, 2.457, 38
44.68, 2.028, 22
44.78, 2.024, 24
52.19, 1.753, 26


Structure and theoretical powder XRD pattern of Ac2Pt2Pb3 (a structure optimized by DFT (GGA-PBE); Cu Kα, 1.54184 Å).
Peak positions follow from Bragg's law for the DFT cell and can differ from measured ones.

Cell and atoms:
```
Ac2Pt2Pb3
1.0
2.3115 -11.0359 0.0000
2.3115 11.0359 0.0000
0.0000 0.0000 4.0119
Ac Pt Pb
2 2 3
Direct
0.1730 0.8270 0.0000 Ac
0.8270 0.1730 0.0000 Ac
0.2899 0.7101 0.5000 Pt
0.7101 0.2899 0.5000 Pt
0.0000 0.0000 0.0000 Pb
0.4244 0.5756 0.5000 Pb
0.5756 0.4244 0.5000 Pb
```

Main lines, low angle first (10° ≤ 2θ ≤ 80°):
Position (°2θ), d_spacing, I_rel
29.76, 3.002, 100
33.04, 2.711, 56
34.43, 2.605, 54
35.95, 2.498, 26
38.97, 2.311, 34
51.99, 1.759, 33


Structure and theoretical powder XRD pattern of CsAcHg4Bi2 (a structure optimized by DFT (GGA-PBE); Cu Kα, 1.54184 Å).
Peak positions follow from Bragg's law for the DFT cell and can differ from measured ones.

Cell and atoms:
```
CsAcHg4Bi2
1.0
4.5946 0.0000 0.0000
0.0000 4.5946 0.0000
0.0000 0.0000 14.3000
Cs Ac Hg Bi
1 1 4 2
Direct
0.0000 0.0000 0.0000 Cs
0.0000 0.0000 0.5000 Ac
0.0000 0.5000 0.2136 Hg
0.0000 0.5000 0.7864 Hg
0.5000 0.0000 0.2136 Hg
0.5000 0.0000 0.7864 Hg
0.5000 0.5000 0.3914 Bi
0.5000 0.5000 0.6086 Bi
```

Main lines, low angle first (10° ≤ 2θ ≤ 80°):
Position (°2θ), d_spacing, I_rel
28.17, 3.168, 31
30.22, 2.958, 100
31.71, 2.821, 35
33.38, 2.685, 21
39.22, 2.297, 46
65.56, 1.424, 23


Structure and theoretical powder XRD pattern of CaZnCdAs2 (a structure optimized by DFT (GGA-PBE); Cu Kα, 1.54184 Å).
Peak positions follow from Bragg's law for the DFT cell and can differ from measured ones.

Cell and atoms:
```
CaZnCdAs2
1.0
7.2034 -2.1329 0.0000
7.2034 2.1329 0.0000
-6.2612 0.0000 7.9767
Ca Zn Cd As
2 2 2 4
Direct
0.2172 0.2172 0.1485 Ca
0.7828 0.7828 0.8515 Ca
0.0549 0.0549 0.7171 Zn
0.9451 0.9451 0.2829 Zn
0.3640 0.3640 0.6070 Cd
0.6360 0.6360 0.3930 Cd
0.1619 0.1619 0.5858 As
0.4110 0.4110 0.1160 As
0.5890 0.5890 0.8840 As
0.8381 0.8381 0.4142 As
```

Main lines, low angle first (10° ≤ 2θ ≤ 80°):
Position (°2θ), d_spacing, I_rel
11.09, 7.977, 63
17.60, 5.040, 59
27.97, 3.190, 54
35.09, 2.557, 100
42.38, 2.133, 47
43.18, 2.095, 67


Structure and theoretical powder XRD pattern of Y2ScZn2 (a structure optimized by DFT (GGA-PBE); Cu Kα, 1.54184 Å).
Peak positions follow from Bragg's law for the DFT cell and can differ from measured ones.

Cell and atoms:
```
Y2ScZn2
1.0
-1.9054 3.2884 4.8140
1.9054 -3.2884 4.8140
1.9054 3.2884 -4.8140
Y Sc Zn
2 1 2
Direct
0.2125 0.2125 0.0000 Y
0.7875 0.7875 0.0000 Y
0.5000 0.0000 0.5000 Sc
0.1969 0.5000 0.6969 Zn
0.8031 0.5000 0.3031 Zn
```

Main lines, low angle first (10° ≤ 2θ ≤ 80°):
Position (°2θ), d_spacing, I_rel
27.08, 3.293, 14
32.94, 2.719, 100
36.61, 2.455, 19
37.33, 2.409, 48
47.73, 1.905, 13
60.81, 1.523, 19


Structure and theoretical powder XRD pattern of Ce3Sm5Bi8 (a structure optimized by DFT (GGA-PBE); Cu Kα, 1.54184 Å).
Peak positions follow from Bragg's law for the DFT cell and can differ from measured ones.

Cell and atoms:
```
Ce3Sm5Bi8
1.0
4.5751 2.6414 7.4674
-4.5751 2.6414 7.4674
0.0000 -5.2829 7.4674
Ce Sm Bi
3 5 8
Direct
0.0000 0.5000 0.5000 Ce
0.5000 0.0000 0.5000 Ce
0.5000 0.5000 0.0000 Ce
0.0000 0.0000 0.0000 Sm
0.0000 0.0000 0.5000 Sm
0.0000 0.5000 0.0000 Sm
0.5000 0.0000 0.0000 Sm
0.5000 0.5000 0.5000 Sm
0.2496 0.2496 0.2496 Bi
0.2500 0.2500 0.7503 Bi
0.2500 0.7503 0.2500 Bi
0.2497 0.7500 0.7500 Bi
0.7503 0.2500 0.2500 Bi
0.7500 0.2497 0.7500 Bi
0.7500 0.7500 0.2497 Bi
0.7504 0.7504 0.7504 Bi
```

Main lines, low angle first (10° ≤ 2θ ≤ 80°):
Position (°2θ), d_spacing, I_rel
27.58, 3.235, 100
39.40, 2.287, 79
48.76, 1.867, 29
56.94, 1.617, 14
64.41, 1.447, 38
71.44, 1.321, 28


Structure and theoretical powder XRD pattern of ScInSnCl6 (a structure optimized by DFT (GGA-PBE); Cu Kα, 1.54184 Å).
Peak positions follow from Bragg's law for the DFT cell and can differ from measured ones.

Cell and atoms:
```
ScInSnCl6
1.0
7.0721 0.0000 0.0000
-3.5360 6.1246 0.0000
0.0000 0.0000 6.7398
Sc In Sn Cl
1 1 1 6
Direct
0.0000 0.0000 0.0000 Sc
0.3333 0.6667 0.5000 In
0.6667 0.3333 0.0000 Sn
0.2975 0.0152 0.2165 Cl
0.2975 0.2823 0.7835 Cl
0.7177 0.0152 0.7835 Cl
0.7177 0.7025 0.2165 Cl
0.9848 0.2823 0.2165 Cl
0.9848 0.7025 0.7835 Cl
```

Main lines, low angle first (10° ≤ 2θ ≤ 80°):
Position (°2θ), d_spacing, I_rel
19.59, 4.533, 100
28.51, 3.131, 27
32.10, 2.788, 26
36.84, 2.439, 63
41.23, 2.189, 33
44.37, 2.042, 25